Entry 1:
NaSnI2: calculated PXRD pattern (Cu Kα, 1.54184 Å), based on a crystal structure in Alexandria, relaxed with PBE.
Neutral-atom scattering factors, no anomalous dispersion.

abc: 5.0995 8.1761 9.7742
angles: 68.17 75.90 87.70
Space group P1 (No. 1)
Symmetry-distinct sites (fractional):
Na 0.0000 0.0000 0.0000 (multiplicity 1)
Na 0.3757 0.4822 0.2610 (multiplicity 1)
Sn 0.3747 0.8733 0.6298 (multiplicity 1)
Sn 0.9456 0.9754 0.4515 (multiplicity 1)
I 0.1966 0.2251 0.6261 (multiplicity 1)
I 0.5368 0.8104 0.9487 (multiplicity 1)
I 0.8378 0.6885 0.3482 (multiplicity 1)
I 0.9339 0.2843 0.1597 (multiplicity 1)

The 10 most intense peaks (2θ = 15–90°), most intense first:
h k l	two_theta	Rel. int.
1 0 -1	22.72	100
0 1 -2	26.98	75
-1 1 1	23.25	69
1 3 0	41.05	68
1 0 2	23.51	66
-1 2 1	29.17	66
1 2 2	28.31	57
1 1 4	38.00	55
2 1 -1	43.81	46
0 3 3	37.26	45

Entry 2:
Ag2PbBr6: calculated PXRD pattern (Cu Kα, 1.54184 Å), based on a crystal structure in Alexandria, relaxed with PBE.
Neutral-atom scattering factors, no anomalous dispersion.

abc: 15.1235 12.8851 7.1031
angles: 90.00 103.45 90.00
Space group C2/c (No. 15)
Symmetry-distinct sites (fractional):
Ag 0.2039 0.1114 0.0326 (multiplicity 8)
Pb 0.0000 0.4059 0.2500 (multiplicity 4)
Br 0.1093 0.4283 0.6620 (multiplicity 8)
Br 0.1279 0.0325 0.2884 (multiplicity 8)
Br 0.2096 0.2958 0.2034 (multiplicity 8)

The 10 most intense peaks (2θ = 15–90°), most intense first:
h k l	two_theta	Rel. int.
1 1 1	16.86	100
3 1 0	19.37	90
3 3 -1	28.68	88
2 2 -1	20.73	81
4 2 1	33.20	66
5 1 -2	35.86	61
0 0 2	25.83	53
4 2 -3	43.57	41
2 4 2	42.09	39
1 3 -3	43.76	37

Entry 3:
Ba2HgH6Au: calculated PXRD pattern (Cu Kα, 1.54184 Å), based on a crystal structure in Alexandria, relaxed with PBE.
Neutral-atom scattering factors, no anomalous dispersion.

abc: 8.3523 8.3625 5.9517
angles: 90.00 134.43 90.00
Space group C2/m (No. 12)
Symmetry-distinct sites (fractional):
Ba 0.0000 0.2501 0.0000 (multiplicity 4)
Hg 0.0000 0.0000 0.5000 (multiplicity 2)
H 0.0000 0.2784 0.5000 (multiplicity 4)
H 0.2211 0.5000 0.4995 (multiplicity 4)
H 0.2233 0.5000 0.9464 (multiplicity 4)
Au 0.0000 0.5000 0.5000 (multiplicity 2)

The 10 most intense peaks (2θ = 15–90°), most intense first:
h k l	two_theta	Rel. int.
2 0 0	29.99	100
2 2 -1	30.25	49
2 4 0	53.55	30
2 2 1	53.08	20
0 4 0	43.30	19
6 2 -3	71.37	11
0 0 2	42.54	10
4 2 -3	53.63	10
4 0 0	62.29	10
2 6 1	86.74	8

Entry 4:
NaSc3P8H14O24: calculated PXRD pattern (Cu Kα, 1.54184 Å), based on a crystal structure in Alexandria, relaxed with PBE.
Neutral-atom scattering factors, no anomalous dispersion.

abc: 7.5886 9.6662 9.6912
angles: 115.31 101.06 100.79
Space group P-1 (No. 2)
Symmetry-distinct sites (fractional):
Na 0.0000 0.0000 0.0000 (multiplicity 1)
Sc 0.0000 0.5000 0.5000 (multiplicity 1)
Sc 0.4968 0.2225 0.7650 (multiplicity 2)
P 0.2089 0.8445 0.4791 (multiplicity 2)
P 0.2226 0.3774 0.0108 (multiplicity 2)
P 0.2960 0.2495 0.4229 (multiplicity 2)
P 0.3140 0.7663 0.8753 (multiplicity 2)
H 0.0416 0.8845 0.4495 (multiplicity 2)
H 0.0639 0.4000 0.9315 (multiplicity 2)
H 0.1518 0.3356 0.2069 (multiplicity 2)
H 0.2380 0.9881 0.2940 (multiplicity 2)
H 0.2752 0.9389 0.7892 (multiplicity 2)
H 0.4696 0.3080 0.4049 (multiplicity 2)
H 0.4919 0.7875 0.8511 (multiplicity 2)
O 0.1406 0.2756 0.0909 (multiplicity 2)
O 0.1560 0.6773 0.4641 (multiplicity 2)
O 0.1745 0.3532 0.4034 (multiplicity 2)
O 0.1798 0.6086 0.7362 (multiplicity 2)
O 0.1992 0.0733 0.2725 (multiplicity 2)
O 0.2518 0.9164 0.8791 (multiplicity 2)
O 0.2967 0.2696 0.8851 (multiplicity 2)
O 0.3008 0.8545 0.3531 (multiplicity 2)
O 0.3313 0.2384 0.5759 (multiplicity 2)
O 0.3337 0.9718 0.6525 (multiplicity 2)
O 0.3349 0.7824 0.0409 (multiplicity 2)
O 0.3580 0.5373 0.1419 (multiplicity 2)

The 10 most intense peaks (2θ = 15–90°), most intense first:
h k l	two_theta	Rel. int.
1 -2 2	25.13	100
-2 1 1	25.32	100
1 -1 1	16.54	82
1 2 0	27.94	64
0 2 0	21.33	45
1 1 -3	28.46	31
0 3 -1	28.58	19
3 0 -2	37.55	17
2 2 2	52.79	13
2 -2 2	33.46	13

Entry 5:
RbNaAsSe2: calculated PXRD pattern (Cu Kα, 1.54184 Å), based on a crystal structure in Alexandria, relaxed with PBE.
Neutral-atom scattering factors, no anomalous dispersion.

abc: 6.4722 13.2760 6.5399
angles: 90.00 90.00 90.00
Space group Cmme (No. 67)
Symmetry-distinct sites (fractional):
Rb 0.0000 0.2500 0.2319 (multiplicity 4)
Na 0.2500 0.0000 0.5000 (multiplicity 4)
As 0.0000 0.0000 0.0000 (multiplicity 4)
Se 0.0000 0.1478 0.7380 (multiplicity 8)

The 10 most intense peaks (2θ = 15–90°), most intense first:
h k l	two_theta	Rel. int.
1 5 1	39.17	100
2 0 0	27.56	75
0 2 2	30.47	69
1 3 1	27.98	65
2 2 2	41.55	36
3 5 1	56.75	26
1 5 3	56.43	24
2 0 1	30.79	20
4 0 4	84.20	20
3 5 3	70.96	18

Entry 6:
Pm3Nd4Ru4: calculated PXRD pattern (Cu Kα, 1.54184 Å), based on a crystal structure in Alexandria, relaxed with PBE.
Neutral-atom scattering factors, no anomalous dispersion.

abc: 3.6421 9.0913 16.8234
angles: 90.00 90.00 90.00
Space group Immm (No. 71)
Symmetry-distinct sites (fractional):
Pm 0.0000 0.0000 0.0000 (multiplicity 2)
Pm 0.0000 0.5000 0.0950 (multiplicity 4)
Nd 0.0000 0.3093 0.3353 (multiplicity 8)
Ru 0.0000 0.0000 0.2621 (multiplicity 4)
Ru 0.0000 0.2308 0.5000 (multiplicity 4)

The 10 most intense peaks (2θ = 15–90°), most intense first:
h k l	two_theta	Rel. int.
1 2 1	31.93	100
1 1 4	34.02	60
0 3 3	33.62	46
0 2 6	37.69	40
1 5 4	61.09	26
1 0 5	36.35	24
1 0 3	29.24	23
2 0 0	50.09	21
1 3 2	40.17	18
0 1 5	28.28	18

Entry 7:
CaSm2Y4Er: calculated PXRD pattern (Cu Kα, 1.54184 Å), based on a crystal structure in Alexandria, relaxed with PBE.
Neutral-atom scattering factors, no anomalous dispersion.

abc: 13.8162 13.4304 6.8601
angles: 90.00 119.70 90.00
Space group C2/c (No. 15)
Symmetry-distinct sites (fractional):
Ca 0.0000 0.0000 0.0000 (multiplicity 4)
Sm 0.0000 0.5000 0.0000 (multiplicity 4)
Sm 0.2500 0.2500 0.0000 (multiplicity 4)
Y 0.0002 0.2519 0.0012 (multiplicity 8)
Y 0.2356 0.4972 0.4827 (multiplicity 8)
Er 0.2500 0.2500 0.5000 (multiplicity 4)

The 10 most intense peaks (2θ = 15–90°), most intense first:
h k l	two_theta	Rel. int.
4 0 -2	30.01	100
4 4 -2	40.49	88
0 4 0	26.55	69
4 0 0	29.78	50
4 4 0	40.31	44
8 4 -2	60.24	25
4 8 -2	63.63	22
8 0 -2	53.00	19
8 4 -4	69.00	17
4 4 -4	60.63	13

Entry 8:
Nd4Ga: calculated PXRD pattern (Cu Kα, 1.54184 Å), based on a crystal structure in Alexandria, relaxed with PBE.
Neutral-atom scattering factors, no anomalous dispersion.

abc: 9.2650 9.2650 7.9052
angles: 90.00 90.00 90.00
Space group I4_1/amd (No. 141, origin choice 2)
Symmetry-distinct sites (fractional):
Nd 0.0000 0.0603 0.2146 (multiplicity 16)
Ga 0.0000 0.2500 0.8750 (multiplicity 4)

The 10 most intense peaks (2θ = 15–90°), most intense first:
h k l	two_theta	Rel. int.
2 0 2	29.71	100
3 0 1	31.09	60
3 2 1	36.78	38
2 2 0	27.22	37
1 0 3	35.42	31
4 3 1	50.59	24
3 2 3	49.55	19
4 0 0	38.88	17
2 0 0	19.16	17
2 1 1	24.25	16

Repeat the fourth record exactly.
NaSc3P8H14O24: calculated PXRD pattern (Cu Kα, 1.54184 Å), based on a crystal structure in Alexandria, relaxed with PBE.
Neutral-atom scattering factors, no anomalous dispersion.

abc: 7.5886 9.6662 9.6912
angles: 115.31 101.06 100.79
Space group P-1 (No. 2)
Symmetry-distinct sites (fractional):
Na 0.0000 0.0000 0.0000 (multiplicity 1)
Sc 0.0000 0.5000 0.5000 (multiplicity 1)
Sc 0.4968 0.2225 0.7650 (multiplicity 2)
P 0.2089 0.8445 0.4791 (multiplicity 2)
P 0.2226 0.3774 0.0108 (multiplicity 2)
P 0.2960 0.2495 0.4229 (multiplicity 2)
P 0.3140 0.7663 0.8753 (multiplicity 2)
H 0.0416 0.8845 0.4495 (multiplicity 2)
H 0.0639 0.4000 0.9315 (multiplicity 2)
H 0.1518 0.3356 0.2069 (multiplicity 2)
H 0.2380 0.9881 0.2940 (multiplicity 2)
H 0.2752 0.9389 0.7892 (multiplicity 2)
H 0.4696 0.3080 0.4049 (multiplicity 2)
H 0.4919 0.7875 0.8511 (multiplicity 2)
O 0.1406 0.2756 0.0909 (multiplicity 2)
O 0.1560 0.6773 0.4641 (multiplicity 2)
O 0.1745 0.3532 0.4034 (multiplicity 2)
O 0.1798 0.6086 0.7362 (multiplicity 2)
O 0.1992 0.0733 0.2725 (multiplicity 2)
O 0.2518 0.9164 0.8791 (multiplicity 2)
O 0.2967 0.2696 0.8851 (multiplicity 2)
O 0.3008 0.8545 0.3531 (multiplicity 2)
O 0.3313 0.2384 0.5759 (multiplicity 2)
O 0.3337 0.9718 0.6525 (multiplicity 2)
O 0.3349 0.7824 0.0409 (multiplicity 2)
O 0.3580 0.5373 0.1419 (multiplicity 2)

The 10 most intense peaks (2θ = 15–90°), most intense first:
h k l	two_theta	Rel. int.
1 -2 2	25.13	100
-2 1 1	25.32	100
1 -1 1	16.54	82
1 2 0	27.94	64
0 2 0	21.33	45
1 1 -3	28.46	31
0 3 -1	28.58	19
3 0 -2	37.55	17
2 2 2	52.79	13
2 -2 2	33.46	13